(1)
Starting from a structure optimized by DFT (PBE), the powder diffraction line list of Ba2NaPt was calculated for CuKα.

The 12 most intense peaks (10° ≤ 2θ ≤ 80°), in order of rising 2θ:
d_spacing	2θ (°)	I (rel.)
7.342	12.05	100.0
5.513	16.08	55.8
4.937	17.97	43.6
3.432	25.96	54.0
3.190	27.97	64.8
3.153	28.31	49.4
2.745	32.62	31.1
2.447	36.73	43.7
2.336	38.53	38.3
2.242	40.22	38.4
2.080	43.50	31.2
1.942	46.78	46.7

Atomic structure:
Lattice parameters (Å, degrees): 8.043 8.043 8.043 133.27 93.91 104.27
Element x y z (fractional)
Ba: 0.126 0.250 0.376
Ba: 0.535 0.932 0.103
Ba: 0.829 0.432 0.897
Ba: 0.874 0.750 0.624
Na: 0.306 0.128 0.678
Na: 0.450 0.628 0.322
Pt: 0.533 0.433 0.600
Pt: 0.832 0.933 0.400



(2)
Starting from a structure optimized by DFT (PBE), the powder diffraction line list of Ca3PmBi2S was calculated for CuKα.

The 12 most intense peaks (10° ≤ 2θ ≤ 80°), in order of rising 2θ:
d_spacing	2θ (°)	I (rel.)
5.080	17.46	48.2
3.785	23.50	43.0
3.724	23.89	31.4
3.397	26.24	28.4
2.794	32.03	18.3
2.768	32.34	100.0
2.669	33.58	29.5
2.599	34.50	27.4
2.181	41.40	20.6
1.862	48.91	20.3
1.559	59.25	15.6
1.531	60.45	14.7

Atomic structure:
Lattice parameters (Å, degrees): 9.083 9.083 9.083 146.74 145.83 48.43
Element x y z (fractional)
Ca: 0.000 0.000 0.000
Ca: 0.172 0.672 0.500
Ca: 0.828 0.328 0.500
Pm: 0.500 0.500 0.000
Bi: 0.365 0.865 0.500
Bi: 0.635 0.135 0.500
S: 0.000 0.500 0.500



(3)
Starting from a structure optimized by DFT (PBE), the powder diffraction line list of LiReTc2 was calculated for CuKα.

The 12 most intense peaks (10° ≤ 2θ ≤ 80°), in order of rising 2θ:
d_spacing	2θ (°)	I (rel.)
5.234	16.94	75.4
3.156	28.28	64.1
2.402	37.45	30.7
2.232	40.42	100.0
2.183	41.37	92.5
2.053	44.11	27.5
1.978	45.88	34.8
1.880	48.42	58.6
1.527	60.65	15.3
1.374	68.23	14.3
1.363	68.91	40.3
1.308	72.20	17.8

Atomic structure:
Lattice parameters (Å, degrees): 2.703 3.956 5.234 90.00 90.00 90.00
Element x y z (fractional)
Li: 0.000 0.000 0.000
Re: 0.000 0.000 0.500
Tc: 0.500 0.500 0.238
Tc: 0.500 0.500 0.762